The following is a computed powder X-ray diffraction pattern of P3Pb5ClO12. It was derived from DFT lattice parameters and positions (GGA-PBE), using CuKα.
Peak positions follow from Bragg's law for the DFT cell and can differ from measured ones.

```
data_P3Pb5ClO12
_chemical_formula_sum 'P6 Pb10 Cl2 O24'
_cell_length_a 10.2343
_cell_length_b 10.2343
_cell_length_c 7.3572
_cell_angle_alpha 90.00
_cell_angle_beta 90.00
_cell_angle_gamma 120.00
_symmetry_space_group_name_H-M 'P 63/m'
_symmetry_Int_Tables_number 176
_symmetry_space_group_name_Hall '-P 6c'
loop_
_atom_site_label
_atom_site_fract_x
_atom_site_fract_y
_atom_site_fract_z
P1 0.0349 0.4131 0.2500
Pb1 0.0196 0.7578 0.2500
Pb2 0.3333 0.6667 0.5061
Cl1 0.0000 0.0000 0.0000
O1 0.0895 0.3626 0.0793
O2 0.1233 0.5916 0.2500
O3 0.1370 0.6487 0.7500
```

Top 6 peaks for 2θ from 5° to 70°, sorted by position:
2θ = 21.15°, I = 43.4; 2θ = 26.61°, I = 35.2; 2θ = 29.29°, I = 92.1; 2θ = 29.91°, I = 100.0; 2θ = 30.25°, I = 53.7; 2θ = 43.06°, I = 37.4

The following is a computed powder X-ray diffraction pattern of Pr4PClO8. It was derived from DFT lattice parameters and positions (GGA-PBE), using CuKα.
Peak positions follow from Bragg's law for the DFT cell and can differ from measured ones.

```
data_Pr4PClO8
_chemical_formula_sum 'Pr8 P2 Cl2 O16'
_cell_length_a 13.1754
_cell_length_b 5.9270
_cell_length_c 5.8866
_cell_angle_alpha 90.00
_cell_angle_beta 90.00
_cell_angle_gamma 90.00
_symmetry_space_group_name_H-M 'P m n 21'
_symmetry_Int_Tables_number 31
loop_
_symmetry_equiv_pos_as_xyz
'x,y,z'
'-x+1/2,-y,z+1/2'
'-x,y,z'
'x+1/2,-y,z+1/2'
loop_
_atom_site_label
_atom_site_fract_x
_atom_site_fract_y
_atom_site_fract_z
Pr1 0.1617 0.0174 0.0000
Pr2 0.1680 0.4864 0.4708
P1 0.0000 0.5405 0.9434
Cl1 0.0000 0.0562 0.4305
O1 0.0000 0.5003 0.6809
O2 0.0000 0.8014 0.9825
O3 0.0951 0.4330 0.0531
O4 0.2314 0.7579 0.7376
O5 0.2503 0.2429 0.7315
```

Top 6 peaks for 2θ from 5° to 70°, sorted by position:
2θ = 13.44°, I = 21.3; 2θ = 22.33°, I = 24.3; 2θ = 29.51°, I = 100.0; 2θ = 30.16°, I = 20.8; 2θ = 30.37°, I = 20.5; 2θ = 53.42°, I = 21.8

The following is a computed powder X-ray diffraction pattern of RePCl6O3. It was derived from DFT lattice parameters and positions (GGA-PBE), using CuKα.
Peak positions follow from Bragg's law for the DFT cell and can differ from measured ones.

```
data_RePCl6O3
_chemical_formula_sum 'Re4 P4 Cl24 O12'
_cell_length_a 6.5791
_cell_length_b 12.9268
_cell_length_c 14.2048
_cell_angle_alpha 90.00
_cell_angle_beta 99.83
_cell_angle_gamma 90.00
_symmetry_space_group_name_H-M 'P 1 21/c 1'
_symmetry_Int_Tables_number 14
loop_
_symmetry_equiv_pos_as_xyz
'x,y,z'
'-x,-y,-z'
'-x,y+1/2,-z+1/2'
'x,-y+1/2,z+1/2'
loop_
_atom_site_label
_atom_site_fract_x
_atom_site_fract_y
_atom_site_fract_z
Re1 0.1158 0.2075 0.0023
P1 0.4066 0.0990 0.6732
Cl1 0.0452 0.1856 0.1604
Cl2 0.1427 0.6688 0.0094
Cl3 0.1969 0.0367 0.7423
Cl4 0.4086 0.0176 0.3476
Cl5 0.4152 0.1186 0.0578
Cl6 0.4238 0.6914 0.7324
O1 0.0292 0.6071 0.5507
O2 0.2150 0.2371 0.4092
O3 0.3176 0.1502 0.5819
```

Top 6 peaks for 2θ from 5° to 70°, sorted by position:
2θ = 12.65°, I = 74.3; 2θ = 13.69°, I = 95.5; 2θ = 15.29°, I = 90.6; 2θ = 16.98°, I = 73.7; 2θ = 18.69°, I = 100.0; 2θ = 19.39°, I = 61.0

The following is a computed powder X-ray diffraction pattern of RePCl8O. It was derived from DFT lattice parameters and positions (GGA-PBE), using CuKα.
Peak positions follow from Bragg's law for the DFT cell and can differ from measured ones.

```
data_RePCl8O
_chemical_formula_sum 'Re4 P4 Cl32 O4'
_cell_length_a 17.1142
_cell_length_b 8.3970
_cell_length_c 9.1064
_cell_angle_alpha 90.00
_cell_angle_beta 90.00
_cell_angle_gamma 90.00
_symmetry_space_group_name_H-M 'P n m a'
_symmetry_Int_Tables_number 62
loop_
_symmetry_equiv_pos_as_xyz
'x,y,z'
'-x,-y,-z'
'-x+1/2,-y,z+1/2'
'x+1/2,y,-z+1/2'
'x+1/2,-y+1/2,-z+1/2'
'-x+1/2,y+1/2,z+1/2'
'-x,y+1/2,-z'
'x,-y+1/2,z'
loop_
_atom_site_label
_atom_site_fract_x
_atom_site_fract_y
_atom_site_fract_z
Re1 0.1480 0.2500 0.0769
P1 0.0771 0.2500 0.7175
Cl1 0.0311 0.7500 0.3596
Cl2 0.0328 0.2500 0.2115
Cl3 0.1296 0.0609 0.6327
Cl4 0.1409 0.5217 0.0548
Cl5 0.2223 0.2500 0.2808
Cl6 0.2411 0.7500 0.4253
O1 0.0751 0.2500 0.8818
```

Top 6 peaks for 2θ from 5° to 70°, sorted by position:
2θ = 11.01°, I = 27.5; 2θ = 14.78°, I = 100.0; 2θ = 15.26°, I = 63.8; 2θ = 18.35°, I = 32.0; 2θ = 21.16°, I = 25.9; 2θ = 22.82°, I = 28.5

The following is a computed powder X-ray diffraction pattern of SbPCl8O. It was derived from DFT lattice parameters and positions (GGA-PBE), using CuKα.
Peak positions follow from Bragg's law for the DFT cell and can differ from measured ones.

```
data_SbPCl8O
_chemical_formula_sum 'Sb4 P4 Cl32 O4'
_cell_length_a 17.3551
_cell_length_b 8.5536
_cell_length_c 9.3487
_cell_angle_alpha 90.00
_cell_angle_beta 90.00
_cell_angle_gamma 90.00
_symmetry_space_group_name_H-M 'P n m a'
_symmetry_Int_Tables_number 62
loop_
_symmetry_equiv_pos_as_xyz
'x,y,z'
'-x,-y,-z'
'-x+1/2,-y,z+1/2'
'x+1/2,y,-z+1/2'
'x+1/2,-y+1/2,-z+1/2'
'-x+1/2,y+1/2,z+1/2'
'-x,y+1/2,-z'
'x,-y+1/2,z'
loop_
_atom_site_label
_atom_site_fract_x
_atom_site_fract_y
_atom_site_fract_z
Sb1 0.1460 0.2500 0.0785
P1 0.0762 0.2500 0.7173
Cl1 0.0254 0.2500 0.1989
Cl2 0.0295 0.7500 0.3633
Cl3 0.1289 0.0647 0.6362
Cl4 0.1393 0.5260 0.0569
Cl5 0.2219 0.2500 0.2878
Cl6 0.2440 0.7500 0.4228
O1 0.0725 0.2500 0.8773
```

Top 6 peaks for 2θ from 5° to 70°, sorted by position:
2θ = 14.54°, I = 100.0; 2θ = 14.94°, I = 49.4; 2θ = 18.03°, I = 26.9; 2θ = 20.77°, I = 26.4; 2θ = 22.27°, I = 35.9; 2θ = 32.12°, I = 28.1

The following is a computed powder X-ray diffraction pattern of SnP2Cl10O2. It was derived from DFT lattice parameters and positions (GGA-PBE), using CuKα.
Peak positions follow from Bragg's law for the DFT cell and can differ from measured ones.

```
data_SnP2Cl10O2
_chemical_formula_sum 'Sn4 P8 Cl40 O8'
_cell_length_a 14.9552
_cell_length_b 15.0651
_cell_length_c 8.2911
_cell_angle_alpha 90.00
_cell_angle_beta 90.00
_cell_angle_gamma 90.00
_symmetry_space_group_name_H-M 'P n n m'
_symmetry_Int_Tables_number 58
loop_
_symmetry_equiv_pos_as_xyz
'x,y,z'
'-x,-y,-z'
'-x,-y,z'
'x,y,-z'
'x+1/2,-y+1/2,-z+1/2'
'-x+1/2,y+1/2,z+1/2'
'-x+1/2,y+1/2,-z+1/2'
'x+1/2,-y+1/2,z+1/2'
loop_
_atom_site_label
_atom_site_fract_x
_atom_site_fract_y
_atom_site_fract_z
Sn1 0.2455 0.1573 0.0000
P1 0.0861 0.3437 0.0000
P2 0.1074 0.8588 0.5000
Cl1 0.0282 0.8438 0.3093
Cl2 0.0468 0.6517 0.0000
Cl3 0.1096 0.5892 0.5000
Cl4 0.1243 0.4136 0.1914
Cl5 0.1435 0.9857 0.5000
Cl6 0.1480 0.0321 0.0000
Cl7 0.2394 0.1844 0.2825
O1 0.1179 0.2500 0.0000
O2 0.1869 0.7997 0.5000
```

Top 6 peaks for 2θ from 5° to 70°, sorted by position:
2θ = 13.55°, I = 100.0; 2θ = 17.02°, I = 20.3; 2θ = 21.37°, I = 35.2; 2θ = 21.47°, I = 18.8; 2θ = 23.89°, I = 25.7; 2θ = 28.59°, I = 20.9

The following is a computed powder X-ray diffraction pattern of SnP2Cl8O3. It was derived from DFT lattice parameters and positions (GGA-PBE), using CuKα.
Peak positions follow from Bragg's law for the DFT cell and can differ from measured ones.

```
data_SnP2Cl8O3
_chemical_formula_sum 'Sn2 P4 Cl16 O6'
_cell_length_a 8.9804
_cell_length_b 9.2428
_cell_length_c 11.0415
_cell_angle_alpha 69.91
_cell_angle_beta 71.26
_cell_angle_gamma 65.39
_symmetry_space_group_name_H-M 'P -1'
_symmetry_Int_Tables_number 2
loop_
_symmetry_equiv_pos_as_xyz
'x,y,z'
'-x,-y,-z'
loop_
_atom_site_label
_atom_site_fract_x
_atom_site_fract_y
_atom_site_fract_z
Sn1 0.0901 0.2049 0.2684
P1 0.2076 0.7953 0.4360
P2 0.2222 0.8069 0.8636
Cl1 0.0411 0.5062 0.7928
Cl2 0.1863 0.6036 0.4051
Cl3 0.2120 0.7928 0.0492
Cl4 0.2400 0.1872 0.4196
Cl5 0.2855 0.0014 0.7569
Cl6 0.3138 0.1688 0.0829
Cl7 0.4130 0.6127 0.8171
Cl8 0.4563 0.7345 0.4110
O1 0.0590 0.8177 0.8477
O2 0.1324 0.8062 0.5777
O3 0.1433 0.9419 0.3268
```

Top 6 peaks for 2θ from 5° to 70°, sorted by position:
2θ = 11.08°, I = 58.6; 2θ = 12.16°, I = 100.0; 2θ = 15.52°, I = 49.4; 2θ = 21.80°, I = 32.2; 2θ = 22.33°, I = 37.2; 2θ = 22.65°, I = 38.4